Structure and computed powder XRD pattern of YNb4Se8 (a cell relaxed with GGA-PBE; Cu Kα, 1.54184 Å).
Intensities are scaled so that the largest is 100.

Most intense lines, 2θ = 10–90°, in order of rising 2θ:
2theta	I/Imax	hkl
12.7	33	0 0 3
29.3	9	0 2 1
33.8	100	0 2 4
45.6	42	2 0 8
51.4	30	2 2 0
52.7	9	0 0 12
63.0	16	4 0 4
71.1	11	0 4 8
76.7	17	2 2 12
85.5	13	2 4 4

Structure:
Unit cell a=7.1086 b=7.1086 c=20.8587 alpha=90.00 beta=90.00 gamma=120.00
Space group R-3m (No. 166, hexagonal axes)
Unique sites:
Y  0.0000  0.0000  0.0000 [3 per cell]
Nb  0.0000  0.0000  0.5000 [3 per cell]
Nb  0.0000  0.5000  0.5000 [9 per cell]
Se  0.0000  0.0000  0.2457 [6 per cell]
Se  0.0108  0.5054  0.2469 [18 per cell]

---

Structure and computed powder XRD pattern of Nb12ZnSe16 (a cell relaxed with GGA-PBE; Cu Kα, 1.54184 Å).
Intensities are scaled so that the largest is 100.

Most intense lines, 2θ = 10–90°, in order of rising 2θ:
2theta	I/Imax	hkl
10.1	89	0 1 0
30.5	22	0 3 0
32.8	37	2 0 1
36.8	57	0 4 -3
37.4	100	2 2 0
44.1	40	2 -2 3
47.3	22	0 1 4
52.4	19	2 3 1
65.9	19	4 1 -6
81.4	29	2 3 4

Structure:
Unit cell a=6.9648 b=10.1620 c=10.7383 alpha=118.23 beta=108.92 gamma=90.00
Space group P-1 (No. 2)
Unique sites:
Nb  0.0623  0.4868  0.3790 [2 per cell]
Nb  0.0726  0.3792  0.8923 [2 per cell]
Nb  0.1328  0.8919  0.5119 [2 per cell]
Nb  0.3704  0.1079  0.4868 [2 per cell]
Nb  0.4307  0.6204  0.1085 [2 per cell]
Nb  0.4331  0.5120  0.6203 [2 per cell]
Zn  0.5000  0.0000  0.0000 [1 per cell]
Se  0.0149  0.9401  0.2807 [2 per cell]
Se  0.0954  0.6584  0.9396 [2 per cell]
Se  0.2054  0.7207  0.6591 [2 per cell]
Se  0.2079  0.3326  0.6661 [2 per cell]
Se  0.2914  0.6659  0.3329 [2 per cell]
Se  0.2961  0.2808  0.3408 [2 per cell]
Se  0.4061  0.3399  0.0609 [2 per cell]
Se  0.4848  0.0616  0.7207 [2 per cell]

---

Structure and computed powder XRD pattern of Zr3NbSe8 (a cell relaxed with GGA-PBE; Cu Kα, 1.54184 Å).
Intensities are scaled so that the largest is 100.

Most intense lines, 2θ = 10–90°, in order of rising 2θ:
2theta	I/Imax	hkl
12.8	91	0 0 1
28.1	28	4 0 -1
32.7	100	2 2 -2
32.9	49	4 0 0
41.4	14	2 2 -3
44.7	20	4 0 -4
45.1	39	2 2 2
49.0	47	0 4 0
53.1	11	0 0 4
60.3	17	4 4 0

Structure:
Unit cell a=12.8732 b=7.4305 c=8.1604 alpha=90.00 beta=122.28 gamma=90.00
Space group C2/m (No. 12)
Unique sites:
Zr  0.0000  0.0000  0.0000 [2 per cell]
Zr  0.2500  0.2500  0.0000 [4 per cell]
Nb  0.0000  0.5000  0.0000 [2 per cell]
Se  0.0021  0.2564  0.7657 [8 per cell]
Se  0.2414  0.5000  0.2342 [4 per cell]
Se  0.2470  0.0000  0.2375 [4 per cell]